Calculated powder X-ray diffraction pattern of Mn2PtRh8 for CuKα, from a structure optimized by DFT (PBE).
Lines closer than 0.1° are merged.

Structure:
```
data_Mn2PtRh8
_cell_length_a 4.003
_cell_length_b 6.651
_cell_length_c 11.967
_cell_angle_alpha 90.00
_cell_angle_beta 90.00
_cell_angle_gamma 90.00
_symmetry_space_group_name_H-M 'I m m m'
_symmetry_Int_Tables_number 71
_symmetry_space_group_name_Hall '-I 2 2'
loop_
_atom_site_label
_atom_site_type_symbol
_atom_site_fract_x
_atom_site_fract_y
_atom_site_fract_z
Mn1 Mn 0.000 0.000 0.199
Pt1 Pt 0.000 0.000 0.500
Rh1 Rh 0.000 0.198 0.000
Rh2 Rh 0.000 0.289 0.346
Rh3 Rh 0.000 0.500 0.155
```

Peak list (10 most intense, 15° ≤ 2θ ≤ 90°, in order of rising 2θ)
two_theta, I (rel.)
15.24, 128
30.03, 193
39.99, 303
41.42, 188
41.96, 1000
45.31, 254
45.48, 194
63.05, 108
66.14, 124
81.36, 140